# 1
Starting from a cell relaxed with GGA-PBE, the powder diffraction line list of Ce3CuSnSe7 was computed for CuKα.
Lines closer than 0.1° are merged.

Structural model:
Unit cell a=10.619 b=10.619 c=6.368 alpha=90.00 beta=90.00 gamma=120.00
Sites, in units of the cell vectors:
1 Ce 0.137 0.358 0.000
2 Ce 0.221 0.863 0.000
3 Ce 0.358 0.221 0.500
4 Ce 0.642 0.779 0.000
5 Ce 0.779 0.137 0.500
6 Ce 0.863 0.642 0.500
7 Cu 0.000 0.000 0.460
8 Cu 0.000 0.000 0.960
9 Sn 0.333 0.667 0.577
10 Sn 0.667 0.333 0.077
11 Se 0.080 0.569 0.752
12 Se 0.100 0.256 0.474
13 Se 0.156 0.900 0.474
14 Se 0.256 0.156 0.974
15 Se 0.333 0.667 0.174
16 Se 0.431 0.511 0.752
17 Se 0.489 0.920 0.752
18 Se 0.511 0.080 0.252
19 Se 0.569 0.489 0.252
20 Se 0.667 0.333 0.674
21 Se 0.744 0.844 0.474
22 Se 0.844 0.100 0.974
23 Se 0.900 0.744 0.974
24 Se 0.920 0.431 0.252

Top 8 peaks for 5 to 70 degrees two-theta, low angle first:
h k l	two_theta	intensity
2 0 1	23.87	52
1 2 1	29.27	45
1 0 2	29.69	52
3 0 1	32.41	43
2 2 0	33.76	100
2 0 2	34.25	61
1 3 0	35.19	38
1 2 2	38.34	41



# 2
Starting from a cell relaxed with GGA-PBE, the powder diffraction line list of GaPt2 was computed for CuKα.
Lines closer than 0.1° are merged.

Structural model:
Unit cell a=16.689 b=3.967 c=5.576 alpha=90.00 beta=90.00 gamma=90.00
Sites, in units of the cell vectors:
1 Ga 0.000 0.000 0.000
2 Ga 0.093 0.500 0.317
3 Ga 0.250 0.500 0.794
4 Ga 0.407 0.500 0.317
5 Ga 0.500 0.000 0.000
6 Ga 0.593 0.500 0.683
7 Ga 0.750 0.500 0.206
8 Ga 0.907 0.500 0.683
9 Pt 0.000 0.000 0.500
10 Pt 0.069 0.500 0.796
11 Pt 0.156 0.000 0.051
12 Pt 0.168 0.000 0.558
13 Pt 0.250 0.500 0.268
14 Pt 0.332 0.000 0.558
15 Pt 0.344 0.000 0.051
16 Pt 0.431 0.500 0.796
17 Pt 0.500 0.000 0.500
18 Pt 0.569 0.500 0.204
19 Pt 0.656 0.000 0.949
20 Pt 0.668 0.000 0.442
21 Pt 0.750 0.500 0.732
22 Pt 0.832 0.000 0.442
23 Pt 0.844 0.000 0.949
24 Pt 0.931 0.500 0.204

Top 8 peaks for 5 to 70 degrees two-theta, low angle first:
h k l	two_theta	intensity
3 0 1	22.58	8
3 1 1	32.03	10
6 1 0	39.54	100
1 1 2	39.89	15
5 0 2	42.24	8
0 2 0	45.74	21
6 0 2	46.10	26
6 2 2	66.96	17